Record 1
Diffraction record for La2Sm4Co. The powder diffractogram is computed, not measured: it uses a cell relaxed with PBE and Cu Kα.

Top 8 peaks for 15 to 90 degrees two-theta, by angle:
2theta	I (rel.)	(hkl)
26.1	738	1 1 2
30.8	504	0 0 6
31.7	1000	1 1 4
34.1	822	2 0 0
46.6	614	2 0 6
49.0	295	2 2 0
59.0	297	2 2 6
59.5	333	3 1 4

Structural model:
```
data_La2Sm4Co
_cell_length_a 5.2565
_cell_length_b 5.2565
_cell_length_c 17.4025
_cell_angle_alpha 90.00
_cell_angle_beta 90.00
_cell_angle_gamma 90.00
_space_group_name_H-M_alt 'I 4/m m m'
_space_group_IT_number 139
_space_group_name_Hall '-I 4 2'
loop_
_atom_site_label
_atom_site_type_symbol
_atom_site_fract_x
_atom_site_fract_y
_atom_site_fract_z
La1 La 0.0000 0.0000 0.1507
Sm1 Sm 0.0000 0.0000 0.3426
Sm2 Sm 0.0000 0.5000 0.0000
Co1 Co 0.0000 0.0000 0.5000
```

=====

Record 2
Diffraction record for La3Sm3Co2. The powder diffractogram is computed, not measured: it uses a cell relaxed with PBE and Cu Kα.

Top 8 peaks for 15 to 90 degrees two-theta, by angle:
2theta	I (rel.)	(hkl)
26.4	520	0 4 1
28.3	935	0 0 6
31.0	469	1 3 0
34.2	1000	1 3 3
34.5	858	1 1 5
35.3	784	0 4 5
40.9	421	1 5 0
54.9	380	1 7 3

Structural model:
```
data_La3Sm3Co2
_cell_length_a 3.7139
_cell_length_b 13.7150
_cell_length_c 18.9087
_cell_angle_alpha 90.00
_cell_angle_beta 90.00
_cell_angle_gamma 90.00
_space_group_name_H-M_alt 'C m c m'
_space_group_IT_number 63
_space_group_name_Hall '-C 2c 2'
loop_
_atom_site_label
_atom_site_type_symbol
_atom_site_fract_x
_atom_site_fract_y
_atom_site_fract_z
La1 La 0.0000 0.0480 0.2500
La2 La 0.0000 0.1788 0.5710
Sm1 Sm 0.0000 0.2311 0.7500
Sm2 Sm 0.0000 0.4318 0.5852
Co1 Co 0.0000 0.1939 0.1408
```

=====

Record 3
Diffraction record for La3SmCo2. The powder diffractogram is computed, not measured: it uses a cell relaxed with PBE and Cu Kα.

Top 8 peaks for 15 to 90 degrees two-theta, by angle:
2theta	I (rel.)	(hkl)
27.1	933	1 1 -1
29.4	246	0 2 2
32.0	1000	1 0 2
32.1	495	0 3 -1
44.4	605	-2 1 1
47.4	322	1 3 1
47.5	160	-1 4 2
55.8	301	2 2 -2

Structural model:
```
data_La3SmCo2
_cell_length_a 4.0841
_cell_length_b 8.6933
_cell_length_c 10.4601
_cell_angle_alpha 94.61
_cell_angle_beta 101.19
_cell_angle_gamma 103.52
_space_group_name_H-M_alt 'P -1'
_space_group_IT_number 2
_space_group_name_Hall '-P 1'
loop_
_atom_site_label
_atom_site_type_symbol
_atom_site_fract_x
_atom_site_fract_y
_atom_site_fract_z
La1 La 0.1278 0.3139 0.4459
La2 La 0.1301 0.8216 0.9404
La3 La 0.3676 0.4276 0.8073
Sm1 Sm 0.3684 0.9306 0.3068
Co1 Co 0.2495 0.6239 0.3742
Co2 Co 0.2515 0.1257 0.8769
```

=====

Record 4
Diffraction record for LaSm12Co6. The powder diffractogram is computed, not measured: it uses a cell relaxed with PBE and Cu Kα.

Top 8 peaks for 15 to 90 degrees two-theta, by angle:
2theta	I (rel.)	(hkl)
28.2	515	3 0 1
31.0	494	2 2 2
33.5	1000	3 1 2
46.3	281	5 0 1
53.4	364	5 3 0
56.8	384	5 2 3
66.1	187	5 3 4
83.1	181	7 0 5

Structural model:
```
data_LaSm12Co6
_cell_length_a 9.9993
_cell_length_b 9.9993
_cell_length_c 9.9993
_cell_angle_alpha 90.00
_cell_angle_beta 90.00
_cell_angle_gamma 90.00
_space_group_name_H-M_alt 'I m -3'
_space_group_IT_number 204
_space_group_name_Hall '-I 2 2 3'
loop_
_atom_site_label
_atom_site_type_symbol
_atom_site_fract_x
_atom_site_fract_y
_atom_site_fract_z
La1 La 0.0000 0.0000 0.0000
Sm1 Sm 0.0000 0.3111 0.1948
Co1 Co 0.0000 0.1117 0.5000
```

=====

Record 5
Diffraction record for La3Sm4Co4. The powder diffractogram is computed, not measured: it uses a cell relaxed with PBE and Cu Kα.

Top 8 peaks for 15 to 90 degrees two-theta, by angle:
2theta	I (rel.)	(hkl)
25.8	255	1 0 3
26.4	204	0 2 2
30.8	1000	1 2 1
32.1	252	0 1 5
32.6	500	1 1 4
35.2	667	1 2 3
35.9	172	0 0 6
37.6	471	2 0 0

Structural model:
```
data_La3Sm4Co4
_cell_length_a 4.7785
_cell_length_b 7.5462
_cell_length_c 15.0277
_cell_angle_alpha 90.00
_cell_angle_beta 90.00
_cell_angle_gamma 90.00
_space_group_name_H-M_alt 'I m m m'
_space_group_IT_number 71
_space_group_name_Hall '-I 2 2'
loop_
_atom_site_label
_atom_site_type_symbol
_atom_site_fract_x
_atom_site_fract_y
_atom_site_fract_z
La1 La 0.0000 0.0000 0.0000
La2 La 0.0000 0.5000 0.1044
Sm1 Sm 0.0000 0.2801 0.3303
Co1 Co 0.0000 0.0000 0.1984
Co2 Co 0.0000 0.1480 0.5000
```

=====

Record 6
Diffraction record for LaSmZnCo. The powder diffractogram is computed, not measured: it uses a cell relaxed with PBE and Cu Kα.

Top 8 peaks for 15 to 90 degrees two-theta, by angle:
2theta	I (rel.)	(hkl)
24.9	163	2 0 0
35.5	1000	2 2 0
43.8	49	2 2 2
51.1	174	4 0 0
57.6	69	4 2 0
63.7	352	4 2 2
75.1	107	4 4 0
85.9	153	6 2 0

Structural model:
```
data_LaSmZnCo
_cell_length_a 7.1553
_cell_length_b 7.1553
_cell_length_c 7.1553
_cell_angle_alpha 90.00
_cell_angle_beta 90.00
_cell_angle_gamma 90.00
_space_group_name_H-M_alt 'F -4 3 m'
_space_group_IT_number 216
_space_group_name_Hall 'F -4 2 3'
loop_
_atom_site_label
_atom_site_type_symbol
_atom_site_fract_x
_atom_site_fract_y
_atom_site_fract_z
La1 La 0.0000 0.0000 0.0000
Sm1 Sm 0.0000 0.0000 0.5000
Zn1 Zn 0.2500 0.2500 0.2500
Co1 Co 0.2500 0.2500 0.7500
```